This entry pairs a crystal structure of HoCr2Si2 with its theoretical powder XRD pattern. Radiation: copper Kα. Structure: a DFT-relaxed cell (GGA-PBE, the Materials Project).
Neutral-atom scattering factors, no anomalous dispersion.

Cell and atoms:
Cell lengths 5.9961, 5.9961, 5.9961 Å; angles 142.59, 142.59, 53.94 degrees
Fractional coordinates of all 5 atoms:
1 Ho 0.0000 0.0000 0.0000
2 Cr 0.2500 0.7500 0.5000
3 Cr 0.7500 0.2500 0.5000
4 Si 0.3851 0.3851 0.0000
5 Si 0.6149 0.6149 0.0000

The 10 most intense peaks (10° ≤ 2θ ≤ 80°), in order of falling intensity:
2theta	intensity
37.09	100
34.31	61
24.60	52
47.27	34
48.74	27
59.70	25
33.54	20
70.24	18
62.31	17
59.20	15